(1)
# Pr2Ga12Pd
Simulated powder X-ray diffraction pattern, CuKα. Input: a DFT-relaxed cell (GGA-PBE, the Materials Project).
No peak broadening, texture or thermal motion is included.

Largest 8 diffraction maxima, by intensity, 2θ = 15–90°:
| (hkl) | d (Å) | I/Imax |
| --- | --- | --- |
| 2 0 2 | 2.854 | 100 |
| 2 2 0 | 2.166 | 80 |
| 1 1 4 | 2.911 | 75 |
| 2 0 4 | 2.416 | 46 |
| 2 0 6 | 1.992 | 39 |
| 3 1 4 | 1.738 | 38 |
| 1 1 6 | 2.242 | 35 |
| 3 1 8 | 1.380 | 28 |

Structure:
```
data_Pr2Ga12Pd
_cell_length_a 6.126
_cell_length_b 6.126
_cell_length_c 15.719
_cell_angle_alpha 90.00
_cell_angle_beta 90.00
_cell_angle_gamma 90.00
_symmetry_space_group_name_H-M 'P 4/n b m'
_symmetry_Int_Tables_number 125
loop_
_symmetry_equiv_pos_as_xyz
'x,y,z'
'-x,-y,-z'
'-y+1/2,x,z'
'y+1/2,-x,-z'
'-x+1/2,-y+1/2,z'
'x+1/2,y+1/2,-z'
'y,-x+1/2,z'
'-y,x+1/2,-z'
'x,-y+1/2,-z'
'-x,y+1/2,z'
'-y+1/2,-x+1/2,-z'
'y+1/2,x+1/2,z'
'-x+1/2,y,-z'
'x+1/2,-y,z'
'y,x,-z'
'-y,-x,z'
loop_
_atom_site_label
_atom_site_type_symbol
_atom_site_fract_x
_atom_site_fract_y
_atom_site_fract_z
Pr1 Pr 0.250 0.750 0.249
Ga1 Ga 0.001 0.501 0.088
Ga2 Ga 0.074 0.574 0.571
Ga3 Ga 0.250 0.250 0.185
Ga4 Ga 0.250 0.250 0.342
Pd1 Pd 0.250 0.750 0.000
```



(2)
# BaGa2O4
Simulated powder X-ray diffraction pattern, CuKα. Input: a DFT-relaxed cell (GGA-PBE, the Materials Project).
No peak broadening, texture or thermal motion is included.

Largest 8 diffraction maxima, by intensity, 2θ = 15–90°:
| (hkl) | d (Å) | I/Imax |
| --- | --- | --- |
| 1 0 0 | 4.824 | 100 |
| 0 1 2 | 3.331 | 73 |
| 1 1 2 | 3.606 | 46 |
| 0 2 0 | 3.076 | 44 |
| 2 1 0 | 2.622 | 39 |
| 1 2 -1 | 2.810 | 36 |
| 1 -1 0 | 3.231 | 31 |
| 1 0 -1 | 3.682 | 30 |

Structure:
```
data_BaGa2O4
_cell_length_a 5.514
_cell_length_b 6.735
_cell_length_c 8.334
_cell_angle_alpha 82.94
_cell_angle_beta 71.99
_cell_angle_gamma 65.99
_symmetry_space_group_name_H-M 'P 1'
_symmetry_Int_Tables_number 1
_symmetry_space_group_name_Hall 'P 1'
loop_
_atom_site_label
_atom_site_type_symbol
_atom_site_fract_x
_atom_site_fract_y
_atom_site_fract_z
Ba1 Ba 0.000 0.000 0.000
Ba2 Ba 0.052 0.892 0.500
Ga1 Ga 0.271 0.421 0.807
Ga2 Ga 0.299 0.420 0.193
Ga3 Ga 0.711 0.430 0.376
Ga4 Ga 0.849 0.431 0.624
O1 O 0.023 0.311 0.778
O2 O 0.090 0.292 0.383
O3 O 0.110 0.712 0.784
O4 O 0.170 0.712 0.216
O5 O 0.357 0.276 0.999
O6 O 0.609 0.292 0.616
O7 O 0.658 0.310 0.221
O8 O 0.661 0.669 0.500
```



(3)
# PaNi3
Simulated powder X-ray diffraction pattern, CuKα. Input: a DFT-relaxed cell (GGA-PBE, the Materials Project).
No peak broadening, texture or thermal motion is included.

Largest 8 diffraction maxima, by intensity, 2θ = 15–90°:
| (hkl) | d (Å) | I/Imax |
| --- | --- | --- |
| 2 0 1 | 2.055 | 100 |
| 1 0 1 | 3.278 | 57 |
| 0 0 2 | 2.352 | 33 |
| 2 0 0 | 2.285 | 23 |
| 2 0 3 | 1.293 | 21 |
| 1 1 0 | 2.638 | 20 |
| 2 2 2 | 1.151 | 20 |
| 2 0 2 | 1.639 | 16 |

Structure:
```
data_PaNi3
_cell_length_a 5.2770
_cell_length_b 5.2770
_cell_length_c 4.7034
_cell_angle_alpha 90.00
_cell_angle_beta 90.00
_cell_angle_gamma 120.00
_symmetry_space_group_name_H-M 'P 63/m m c'
_symmetry_Int_Tables_number 194
_symmetry_space_group_name_Hall '-P 6c 2c'
loop_
_atom_site_label
_atom_site_type_symbol
_atom_site_fract_x
_atom_site_fract_y
_atom_site_fract_z
Pa1 Pa 0.3333 0.6667 0.2500
Ni1 Ni 0.1593 0.3187 0.7500
```



(4)
# LiMg3
Simulated powder X-ray diffraction pattern, CuKα. Input: a DFT-relaxed cell (GGA-PBE, the Materials Project).
No peak broadening, texture or thermal motion is included.

Largest 8 diffraction maxima, by intensity, 2θ = 15–90°:
| (hkl) | d (Å) | I/Imax |
| --- | --- | --- |
| 2 0 1 | 2.407 | 100 |
| 0 0 2 | 2.561 | 27 |
| 2 0 0 | 2.726 | 24 |
| 1 0 1 | 3.734 | 22 |
| 2 2 2 | 1.341 | 19 |
| 2 0 3 | 1.447 | 19 |
| 2 2 0 | 1.574 | 17 |
| 2 0 2 | 1.867 | 15 |

Structure:
```
data_LiMg3
_cell_length_a 6.2962
_cell_length_b 6.2962
_cell_length_c 5.1229
_cell_angle_alpha 90.00
_cell_angle_beta 90.00
_cell_angle_gamma 120.00
_symmetry_space_group_name_H-M 'P 63/m m c'
_symmetry_Int_Tables_number 194
_symmetry_space_group_name_Hall '-P 6c 2c'
loop_
_atom_site_label
_atom_site_type_symbol
_atom_site_fract_x
_atom_site_fract_y
_atom_site_fract_z
Li1 Li 0.3333 0.6667 0.2500
Mg1 Mg 0.1684 0.3368 0.7500
```



(5)
# CeThB12
Simulated powder X-ray diffraction pattern, CuKα. Input: a DFT-relaxed cell (GGA-PBE, the Materials Project).
No peak broadening, texture or thermal motion is included.

Largest 8 diffraction maxima, by intensity, 2θ = 15–90°:
| (hkl) | d (Å) | I/Imax |
| --- | --- | --- |
| 1 1 0 | 2.908 | 100 |
| 1 0 0 | 4.113 | 74 |
| 2 1 0 | 1.839 | 51 |
| 1 1 2 | 2.375 | 42 |
| 2 1 2 | 1.679 | 30 |
| 2 2 2 | 1.371 | 28 |
| 2 0 0 | 2.056 | 21 |
| 3 1 0 | 1.301 | 20 |

Structure:
```
data_CeThB12
_cell_length_a 4.112
_cell_length_b 4.112
_cell_length_c 8.228
_cell_angle_alpha 90.00
_cell_angle_beta 90.00
_cell_angle_gamma 90.00
_symmetry_space_group_name_H-M 'P 4/m m m'
_symmetry_Int_Tables_number 123
_symmetry_space_group_name_Hall '-P 4 2'
loop_
_atom_site_label
_atom_site_type_symbol
_atom_site_fract_x
_atom_site_fract_y
_atom_site_fract_z
Ce1 Ce 0.000 0.000 0.000
Th1 Th 0.000 0.000 0.500
B1 B 0.198 0.500 0.250
B2 B 0.500 0.500 0.099
B3 B 0.500 0.500 0.401
```



(6)
# HoMgTi2O6
Simulated powder X-ray diffraction pattern, CuKα. Input: a DFT-relaxed cell (GGA-PBE, the Materials Project).
No peak broadening, texture or thermal motion is included.

Largest 8 diffraction maxima, by intensity, 2θ = 15–90°:
| (hkl) | d (Å) | I/Imax |
| --- | --- | --- |
| 2 1 1 | 2.686 | 100 |
| 1 0 1 | 4.318 | 54 |
| 1 1 0 | 4.451 | 47 |
| 2 1 3 | 1.526 | 25 |
| 0 0 2 | 2.622 | 23 |
| 1 1 2 | 2.259 | 22 |
| 0 2 2 | 1.895 | 20 |
| 0 2 0 | 2.743 | 18 |

Structure:
```
data_HoMgTi2O6
_cell_length_a 7.613
_cell_length_b 5.486
_cell_length_c 5.244
_cell_angle_alpha 90.00
_cell_angle_beta 90.00
_cell_angle_gamma 90.00
_symmetry_space_group_name_H-M 'P m n 21'
_symmetry_Int_Tables_number 31
_symmetry_space_group_name_Hall 'P 2ac -2'
loop_
_atom_site_label
_atom_site_type_symbol
_atom_site_fract_x
_atom_site_fract_y
_atom_site_fract_z
Ho1 Ho 0.000 0.181 0.000
Mg1 Mg 0.000 0.700 0.472
Ti1 Ti 0.250 0.258 0.485
O1 O 0.000 0.305 0.592
O2 O 0.000 0.788 0.856
O3 O 0.188 0.941 0.298
O4 O 0.189 0.448 0.177
```